Starting from a DFT-relaxed cell (PBE, the Materials Project), the XRD peak list of CaTi2P2O8 was simulated for CuKα.
No peak broadening, texture or thermal motion is included.

Structure:
```
CaTi2P2O8
1.0
8.777 -2.519 0.000
8.777 2.519 0.000
-8.071 0.000 14.998
Ca Ti P O
4 8 8 32
Cartesian
-0.840 1.621 12.885
6.287 1.621 9.612
3.196 -1.621 5.386
10.322 -1.621 2.113
4.388 1.260 0.000
2.716 1.452 8.164
2.723 1.622 11.249
2.731 1.452 14.333
0.353 -1.260 7.499
6.751 -1.452 0.665
6.759 -1.622 3.750
6.767 -1.452 6.834
-0.203 1.316 9.547
5.347 1.090 5.822
8.171 1.090 1.678
5.650 1.316 12.951
3.832 -1.316 2.048
1.312 -1.090 13.321
4.135 -1.090 9.177
9.686 -1.316 5.452
5.426 2.005 4.597
-0.977 0.821 10.756
1.340 1.172 9.730
7.038 1.399 0.616
-0.606 0.385 8.338
8.092 2.005 2.902
3.943 1.302 6.461
-2.791 0.252 13.353
3.429 -0.385 0.839
1.244 -0.252 5.854
6.480 1.399 6.883
9.575 1.302 1.038
4.107 1.172 12.767
1.422 0.423 12.933
3.059 -0.821 3.256
4.025 0.423 9.564
5.457 -0.423 5.434
6.424 0.821 11.742
8.061 -0.423 2.065
5.376 -1.172 2.231
-0.092 -1.302 13.960
3.003 -1.399 8.115
8.238 0.252 9.144
6.053 0.385 14.159
12.273 -0.252 1.645
5.539 -1.302 8.537
1.391 -2.005 12.096
10.089 -0.385 6.660
2.444 -1.399 14.382
8.142 -1.172 5.268
10.459 -0.821 4.243
4.056 -2.005 10.401
```

Peak list (12 most intense, 2θ = 10–90°, sorted by position)
- 11.80°, I = 48
- 18.58°, I = 70
- 23.01°, I = 28
- 23.75°, I = 44
- 27.31°, I = 100
- 31.34°, I = 91
- 31.88°, I = 46
- 32.00°, I = 52
- 35.20°, I = 67
- 35.64°, I = 67
- 48.62°, I = 36
- 49.11°, I = 31